No. 1
The following is a theoretical powder XRD pattern of Ca3Cd2Hg5. It was derived from a PBE-relaxed structure, using CuKα.

Peak list (10 most intense, 10 to 90 degrees two-theta, by angle)
- hkl 1 -1 1, 2θ 20.10, 4.417 Å, rel. 62
- hkl -1 1 1, 2θ 21.59, 4.116 Å, rel. 79
- hkl 1 1 -2, 2θ 31.16, 2.870 Å, rel. 60
- hkl 1 3 1, 2θ 31.80, 2.814 Å, rel. 64
- hkl 3 1 1, 2θ 34.00, 2.637 Å, rel. 60
- hkl 0 2 -2, 2θ 34.33, 2.612 Å, rel. 58
- hkl 2 0 3, 2θ 35.46, 2.532 Å, rel. 94
- hkl 2 -2 0, 2θ 35.71, 2.514 Å, rel. 100
- hkl 0 2 3, 2θ 36.71, 2.448 Å, rel. 90
- hkl 2 0 -2, 2θ 37.61, 2.391 Å, rel. 39

Cell and atoms:
```
data_Ca3Cd2Hg5
_symmetry_space_group_name_H-M 'P -1'
_symmetry_Int_Tables_number 2
_cell_length_a 7.937
_cell_length_b 8.507
_cell_length_c 8.627
_cell_angle_alpha 75.38
_cell_angle_beta 70.73
_cell_angle_gamma 75.83
loop_
_symmetry_equiv_pos_as_xyz
'x,y,z'
'-x,-y,-z'
loop_
_atom_site_label
_atom_site_type_symbol
_atom_site_fract_x
_atom_site_fract_y
_atom_site_fract_z
_atom_site_occupancy
Ca1 Ca 0.126 0.418 0.196 1
Ca2 Ca 0.191 0.880 0.586 1
Ca3 Ca 0.356 0.145 0.792 1
Cd1 Cd 0.297 0.505 0.495 1
Cd2 Cd 0.365 0.539 0.802 1
Hg1 Hg 0.010 0.266 0.614 1
Hg2 Hg 0.052 0.791 0.995 1
Hg3 Hg 0.223 0.016 0.196 1
Hg4 Hg 0.411 0.167 0.392 1
Hg5 Hg 0.444 0.741 0.005 1
```


No. 2
The following is a theoretical powder XRD pattern of TlGa2CuBr8. It was derived from a PBE-relaxed structure, using CuKα.

Peak list (10 most intense, 10 to 90 degrees two-theta, by angle)
- hkl 1 0 1, 2θ 17.63, 5.032 Å, rel. 25
- hkl 0 1 2, 2θ 23.88, 3.726 Å, rel. 28
- hkl 1 1 0, 2θ 26.13, 3.411 Å, rel. 22
- hkl 1 1 1, 2θ 27.76, 3.214 Å, rel. 100
- hkl 0 0 3, 2θ 27.87, 3.202 Å, rel. 36
- hkl 2 -1 2, 2θ 32.19, 2.781 Å, rel. 67
- hkl 0 2 2, 2θ 35.69, 2.516 Å, rel. 16
- hkl 3 0 0, 2θ 46.10, 1.969 Å, rel. 45
- hkl 1 1 4, 2θ 46.24, 1.963 Å, rel. 49
- hkl 3 0 3, 2θ 54.71, 1.678 Å, rel. 43

Cell and atoms:
```
data_TlGa2CuBr8
_symmetry_space_group_name_H-M 'P -3'
_symmetry_Int_Tables_number 147
_cell_length_a 6.8213
_cell_length_b 6.8213
_cell_length_c 9.6045
_cell_angle_alpha 90.00
_cell_angle_beta 90.00
_cell_angle_gamma 120.00
loop_
_symmetry_equiv_pos_as_xyz
'x,y,z'
'-x,-y,-z'
'-y,x-y,z'
'y,-x+y,-z'
'-x+y,-x,z'
'x-y,x,-z'
loop_
_atom_site_label
_atom_site_type_symbol
_atom_site_fract_x
_atom_site_fract_y
_atom_site_fract_z
_atom_site_occupancy
Tl1 Tl 0.0000 0.0000 0.0000 1
Ga1 Ga 0.3333 0.6667 0.7437 1
Cu1 Cu 0.0000 0.0000 0.5000 1
Br1 Br 0.0135 0.3202 0.6697 1
Br2 Br 0.3333 0.6667 0.9898 1
```


No. 3
The following is a theoretical powder XRD pattern of Dy3Ag3Pb4. It was derived from a PBE-relaxed structure, using CuKα.

Peak list (10 most intense, 10 to 90 degrees two-theta, by angle)
- hkl 3 1 0, 2θ 27.83, 3.205 Å, rel. 24
- hkl 3 2 1, 2θ 33.07, 2.709 Å, rel. 100
- hkl 4 2 0, 2θ 39.77, 2.267 Å, rel. 22
- hkl 4 2 2, 2θ 43.75, 2.069 Å, rel. 16
- hkl 4 3 1, 2θ 45.64, 1.988 Å, rel. 9
- hkl 5 2 1, 2θ 49.24, 1.851 Å, rel. 14
- hkl 6 1 1, 2θ 55.92, 1.644 Å, rel. 8
- hkl 6 3 1, 2θ 62.10, 1.495 Å, rel. 12
- hkl 4 4 4, 2θ 63.59, 1.463 Å, rel. 8
- hkl 7 1 0, 2θ 65.07, 1.434 Å, rel. 9

Cell and atoms:
```
data_Dy3Ag3Pb4
_symmetry_space_group_name_H-M 'I -4 3 d'
_symmetry_Int_Tables_number 220
_symmetry_space_group_name_Hall 'I -4bd 2c 3'
_cell_length_a 10.137
_cell_length_b 10.137
_cell_length_c 10.137
_cell_angle_alpha 90.00
_cell_angle_beta 90.00
_cell_angle_gamma 90.00
loop_
_atom_site_label
_atom_site_type_symbol
_atom_site_fract_x
_atom_site_fract_y
_atom_site_fract_z
_atom_site_occupancy
Dy1 Dy 0.000 0.250 0.375 1
Ag1 Ag 0.000 0.250 0.875 1
Pb1 Pb 0.094 0.094 0.094 1
```


No. 4
The following is a theoretical powder XRD pattern of InSn2Pd8. It was derived from a PBE-relaxed structure, using CuKα.

Peak list (10 most intense, 10 to 90 degrees two-theta, by angle)
- hkl 1 2 3, 2θ 39.23, 2.296 Å, rel. 100
- hkl 2 0 0, 2θ 43.63, 2.075 Å, rel. 20
- hkl 0 0 6, 2θ 44.01, 2.057 Å, rel. 18
- hkl 0 4 0, 2θ 49.05, 1.857 Å, rel. 12
- hkl 2 0 6, 2θ 63.70, 1.461 Å, rel. 12
- hkl 2 4 0, 2θ 67.71, 1.384 Å, rel. 9
- hkl 0 4 6, 2θ 68.00, 1.379 Å, rel. 8
- hkl 3 2 3, 2θ 77.16, 1.236 Å, rel. 14
- hkl 1 2 9, 2θ 77.70, 1.229 Å, rel. 12
- hkl 2 4 6, 2θ 84.35, 1.148 Å, rel. 9

Cell and atoms:
```
data_InSn2Pd8
_symmetry_space_group_name_H-M 'I m m m'
_symmetry_Int_Tables_number 71
_symmetry_space_group_name_Hall '-I 2 2'
_cell_length_a 4.149
_cell_length_b 7.429
_cell_length_c 12.345
_cell_angle_alpha 90.00
_cell_angle_beta 90.00
_cell_angle_gamma 90.00
loop_
_atom_site_label
_atom_site_type_symbol
_atom_site_fract_x
_atom_site_fract_y
_atom_site_fract_z
_atom_site_occupancy
In1 In 0.000 0.000 0.000 1
Sn1 Sn 0.000 0.000 0.323 1
Pd1 Pd 0.000 0.216 0.500 1
Pd2 Pd 0.000 0.264 0.163 1
Pd3 Pd 0.000 0.500 0.344 1
```


No. 5
The following is a theoretical powder XRD pattern of DyErV4. It was derived from a PBE-relaxed structure, using CuKα.

Peak list (10 most intense, 10 to 90 degrees two-theta, by angle)
- hkl 1 1 1, 2θ 20.26, 4.383 Å, rel. 26
- hkl 2 2 0, 2θ 33.38, 2.684 Å, rel. 76
- hkl 3 1 1, 2θ 39.36, 2.289 Å, rel. 100
- hkl 2 2 2, 2θ 41.19, 2.192 Å, rel. 11
- hkl 3 3 1, 2θ 52.54, 1.742 Å, rel. 7
- hkl 4 2 2, 2θ 59.66, 1.550 Å, rel. 29
- hkl 3 3 3, 2θ 63.69, 1.461 Å, rel. 31
- hkl 4 4 0, 2θ 70.12, 1.342 Å, rel. 22
- hkl 6 2 0, 2θ 79.91, 1.200 Å, rel. 13
- hkl 5 3 3, 2θ 83.49, 1.158 Å, rel. 11

Cell and atoms:
```
data_DyErV4
_symmetry_space_group_name_H-M 'F -4 3 m'
_symmetry_Int_Tables_number 216
_symmetry_space_group_name_Hall 'F -4 2 3'
_cell_length_a 7.592
_cell_length_b 7.592
_cell_length_c 7.592
_cell_angle_alpha 90.00
_cell_angle_beta 90.00
_cell_angle_gamma 90.00
loop_
_atom_site_label
_atom_site_type_symbol
_atom_site_fract_x
_atom_site_fract_y
_atom_site_fract_z
_atom_site_occupancy
Dy1 Dy 0.000 0.000 0.000 1
Er1 Er 0.250 0.250 0.750 1
V1 V 0.123 0.123 0.377 1
```


No. 6
The following is a theoretical powder XRD pattern of CsPa4Se8. It was derived from a PBE-relaxed structure, using CuKα.

Peak list (10 most intense, 10 to 90 degrees two-theta, by angle)
- hkl 2 0 0, 2θ 26.11, 3.413 Å, rel. 27
- hkl 2 0 1, 2θ 26.53, 3.360 Å, rel. 23
- hkl 2 0 2, 2θ 27.77, 3.212 Å, rel. 39
- hkl 2 0 4, 2θ 32.31, 2.771 Å, rel. 100
- hkl 2 0 6, 2θ 38.81, 2.320 Å, rel. 45
- hkl 2 2 0, 2θ 46.06, 1.971 Å, rel. 33
- hkl 2 0 8, 2θ 46.61, 1.948 Å, rel. 26
- hkl 2 2 2, 2θ 47.10, 1.930 Å, rel. 24
- hkl 4 0 4, 2θ 57.37, 1.606 Å, rel. 20
- hkl 4 2 4, 2θ 76.52, 1.245 Å, rel. 17

Cell and atoms:
```
data_CsPa4Se8
_symmetry_space_group_name_H-M 'P 63/m m c'
_symmetry_Int_Tables_number 194
_symmetry_space_group_name_Hall '-P 6c 2c'
_cell_length_a 7.8829
_cell_length_b 7.8829
_cell_length_c 18.9846
_cell_angle_alpha 90.00
_cell_angle_beta 90.00
_cell_angle_gamma 120.00
loop_
_atom_site_label
_atom_site_type_symbol
_atom_site_fract_x
_atom_site_fract_y
_atom_site_fract_z
_atom_site_occupancy
Cs1 Cs 0.0000 0.0000 0.0000 1
Pa1 Pa 0.0000 0.0000 0.2500 1
Pa2 Pa 0.0024 0.5012 0.2500 1
Se1 Se 0.1668 0.3337 0.6573 1
Se2 Se 0.3333 0.6667 0.1568 1
```